Structure and theoretical powder diffractogram of Hf2Ta4Tl3C3 (the GGA-PBE geometry in OQMD; Cu Kα, 1.54184 Å).

Top 10 peaks for 10° ≤ 2θ ≤ 90°, by angle:
32.00°, 2.797 Å, I 23, (0 2 0); 36.65°, 2.452 Å, I 22, (0 0 6); 37.00°, 2.429 Å, I 100, (3 1 -4); 49.43°, 1.844 Å, I 16, (3 1 -7); 57.04°, 1.615 Å, I 20, (6 0 -2); 66.22°, 1.411 Å, I 18, (3 1 -10); 66.91°, 1.398 Å, I 3, (6 2 -2); 69.73°, 1.349 Å, I 20, (6 0 -8); 69.96°, 1.345 Å, I 16, (6 2 -5); 78.79°, 1.215 Å, I 4, (6 2 -8)

Atomic structure:
```
data_Hf2Ta4Tl3C3
_symmetry_space_group_name_H-M 'C 1 2/c 1'
_symmetry_Int_Tables_number 15
_cell_length_a 9.685
_cell_length_b 5.595
_cell_length_c 15.066
_cell_angle_alpha 90.00
_cell_angle_beta 102.43
_cell_angle_gamma 90.00
loop_
_symmetry_equiv_pos_as_xyz
'x,y,z'
'-x,-y,-z'
'-x,y,-z+1/2'
'x,-y,z+1/2'
'x+1/2,y+1/2,z'
'-x+1/2,-y+1/2,-z'
'-x+1/2,y+1/2,-z+1/2'
'x+1/2,-y+1/2,z+1/2'
loop_
_atom_site_label
_atom_site_fract_x
_atom_site_fract_y
_atom_site_fract_z
Hf1 0.052 0.081 0.413
Ta1 0.110 0.412 0.579
Ta2 0.226 0.419 0.921
Tl1 0.000 0.428 0.250
Tl2 0.173 0.088 0.751
C1 0.085 0.253 0.000
C2 0.250 0.250 0.500
```

***

Structure and theoretical powder diffractogram of AlB4W (the GGA-PBE geometry in OQMD; Cu Kα, 1.54184 Å).

Top 10 peaks for 10° ≤ 2θ ≤ 90°, by angle:
16.74°, 5.295 Å, I 100, (0 2 0); 22.21°, 4.002 Å, I 74, (1 2 0); 24.98°, 3.565 Å, I 59, (0 0 1); 30.22°, 2.957 Å, I 46, (0 2 1); 33.67°, 2.662 Å, I 45, (1 2 1); 38.97°, 2.311 Å, I 38, (2 3 0); 39.75°, 2.268 Å, I 30, (2 1 1); 45.21°, 2.006 Å, I 49, (1 4 1); 46.85°, 1.939 Å, I 56, (2 3 1); 52.41°, 1.746 Å, I 34, (3 1 1)

Atomic structure:
```
data_AlB4W
_symmetry_space_group_name_H-M 'P b a m'
_symmetry_Int_Tables_number 55
_cell_length_a 6.119
_cell_length_b 10.582
_cell_length_c 3.565
_cell_angle_alpha 90.00
_cell_angle_beta 90.00
_cell_angle_gamma 90.00
loop_
_symmetry_equiv_pos_as_xyz
'x,y,z'
'-x,-y,-z'
'-x,-y,z'
'x,y,-z'
'x+1/2,-y+1/2,-z'
'-x+1/2,y+1/2,z'
'-x+1/2,y+1/2,-z'
'x+1/2,-y+1/2,z'
loop_
_atom_site_label
_atom_site_fract_x
_atom_site_fract_y
_atom_site_fract_z
Al1 0.085 0.142 0.000
B1 0.030 0.291 0.500
B2 0.104 0.562 0.500
B3 0.135 0.982 0.500
B4 0.177 0.818 0.500
W1 0.149 0.416 0.000
```

***

Structure and theoretical powder diffractogram of Li2Cd2NiSn2Ir (the GGA-PBE geometry in OQMD; Cu Kα, 1.54184 Å).

Top 10 peaks for 10° ≤ 2θ ≤ 90°, by angle:
19.53°, 4.546 Å, I 5, (1 0 0); 24.00°, 3.708 Å, I 27, (1 0 1); 27.78°, 3.211 Å, I 10, (1 1 0); 39.70°, 2.270 Å, I 100, (2 0 0); 46.88°, 1.938 Å, I 9, (2 1 1); 57.32°, 1.607 Å, I 11, (2 2 0); 57.54°, 1.602 Å, I 5, (0 0 4); 72.00°, 1.312 Å, I 23, (3 1 2); 72.14°, 1.309 Å, I 11, (2 0 4); 85.61°, 1.135 Å, I 7, (2 2 4)

Atomic structure:
```
data_Li2Cd2NiSn2Ir
_symmetry_space_group_name_H-M 'P -4 m 2'
_symmetry_Int_Tables_number 115
_cell_length_a 4.546
_cell_length_b 4.546
_cell_length_c 6.407
_cell_angle_alpha 90.00
_cell_angle_beta 90.00
_cell_angle_gamma 90.00
loop_
_symmetry_equiv_pos_as_xyz
'x,y,z'
'y,-x,-z'
'-x,-y,z'
'-y,x,-z'
'-x,y,z'
'-y,-x,-z'
'x,-y,z'
'y,x,-z'
loop_
_atom_site_label
_atom_site_fract_x
_atom_site_fract_y
_atom_site_fract_z
Li1 0.000 0.000 0.000
Li2 0.500 0.500 0.500
Cd1 0.000 0.500 0.240
Ni1 0.500 0.500 0.000
Sn1 0.000 0.500 0.753
Ir1 0.000 0.000 0.500
```

***

Structure and theoretical powder diffractogram of ZrGaPd (the GGA-PBE geometry in OQMD; Cu Kα, 1.54184 Å).

Top 10 peaks for 10° ≤ 2θ ≤ 90°, by angle:
34.93°, 2.569 Å, I 40, (2 0 2); 35.18°, 2.551 Å, I 91, (2 3 1); 38.14°, 2.360 Å, I 100, (2 2 2); 38.45°, 2.341 Å, I 36, (2 4 0); 39.25°, 2.295 Å, I 30, (0 1 3); 39.61°, 2.275 Å, I 35, (0 4 2); 39.86°, 2.262 Å, I 33, (0 5 1); 44.96°, 2.016 Å, I 32, (0 3 3); 48.26°, 1.886 Å, I 33, (4 0 0); 72.28°, 1.307 Å, I 15, (2 1 5)

Atomic structure:
```
data_ZrGaPd
_symmetry_space_group_name_H-M 'I m a 2'
_symmetry_Int_Tables_number 46
_cell_length_a 7.543
_cell_length_b 11.947
_cell_length_c 7.016
_cell_angle_alpha 90.00
_cell_angle_beta 90.00
_cell_angle_gamma 90.00
loop_
_symmetry_equiv_pos_as_xyz
'x,y,z'
'-x,-y,z'
'-x+1/2,y,z'
'x+1/2,-y,z'
'x+1/2,y+1/2,z+1/2'
'-x+1/2,-y+1/2,z+1/2'
'-x,y+1/2,z+1/2'
'x,-y+1/2,z+1/2'
loop_
_atom_site_label
_atom_site_fract_x
_atom_site_fract_y
_atom_site_fract_z
Zr1 0.250 0.002 0.000
Zr2 0.250 0.227 0.654
Zr3 0.250 0.694 0.118
Ga1 0.006 0.669 0.420
Ga2 0.250 0.033 0.417
Pd1 0.000 0.000 0.676
Pd2 0.040 0.623 0.787
```

***

Structure and theoretical powder diffractogram of Er2Ni (the GGA-PBE geometry in OQMD; Cu Kα, 1.54184 Å).

Top 10 peaks for 10° ≤ 2θ ≤ 90°, by angle:
26.51°, 3.362 Å, I 10, (2 0 0); 32.62°, 2.745 Å, I 70, (1 1 1); 35.27°, 2.545 Å, I 100, (2 0 1); 40.14°, 2.247 Å, I 13, (3 0 0); 42.48°, 2.128 Å, I 11, (2 1 1); 46.92°, 1.936 Å, I 14, (0 0 2); 48.71°, 1.869 Å, I 8, (3 1 0); 54.50°, 1.684 Å, I 22, (4 0 0); 60.01°, 1.542 Å, I 21, (2 1 2); 64.94°, 1.436 Å, I 19, (3 2 1)

Atomic structure:
```
data_Er2Ni
_symmetry_space_group_name_H-M 'P -6 2 m'
_symmetry_Int_Tables_number 189
_symmetry_space_group_name_Hall 'P -6 -2'
_cell_length_a 7.7823
_cell_length_b 7.7823
_cell_length_c 3.8725
_cell_angle_alpha 90.00
_cell_angle_beta 90.00
_cell_angle_gamma 120.00
loop_
_atom_site_label
_atom_site_fract_x
_atom_site_fract_y
_atom_site_fract_z
Er1 0.0000 0.2488 0.0000
Er2 0.0000 0.5857 0.5000
Ni1 0.0000 0.0000 0.5000
Ni2 0.3333 0.6667 0.0000
```

***

Structure and theoretical powder diffractogram of Cu2Ag7 (the GGA-PBE geometry in OQMD; Cu Kα, 1.54184 Å).

Top 10 peaks for 10° ≤ 2θ ≤ 90°, by angle:
38.40°, 2.344 Å, I 100, (6 0 -1); 38.60°, 2.332 Å, I 32, (0 0 3); 44.02°, 2.057 Å, I 45, (3 1 1); 46.01°, 1.972 Å, I 18, (6 0 -4); 63.93°, 1.456 Å, I 7, (0 2 0); 65.40°, 1.427 Å, I 12, (9 1 -3); 65.74°, 1.420 Å, I 11, (3 1 -5); 77.10°, 1.237 Å, I 16, (6 2 -1); 77.24°, 1.235 Å, I 8, (0 2 3); 77.43°, 1.233 Å, I 8, (3 1 4)

Atomic structure:
```
data_Cu2Ag7
_symmetry_space_group_name_H-M 'C 1 2/m 1'
_symmetry_Int_Tables_number 12
_cell_length_a 14.744
_cell_length_b 2.912
_cell_length_c 8.390
_cell_angle_alpha 90.00
_cell_angle_beta 123.50
_cell_angle_gamma 90.00
loop_
_symmetry_equiv_pos_as_xyz
'x,y,z'
'-x,-y,-z'
'-x,y,-z'
'x,-y,z'
'x+1/2,y+1/2,z'
'-x+1/2,-y+1/2,-z'
'-x+1/2,y+1/2,-z'
'x+1/2,-y+1/2,z'
loop_
_atom_site_label
_atom_site_fract_x
_atom_site_fract_y
_atom_site_fract_z
Cu1 0.110 0.000 0.165
Ag1 0.000 0.000 0.500
Ag2 0.053 0.500 0.848
Ag3 0.164 0.500 0.486
Ag4 0.226 0.000 0.830
```

***

Structure and theoretical powder diffractogram of Pr4I4O3 (the GGA-PBE geometry in OQMD; Cu Kα, 1.54184 Å).

Top 10 peaks for 10° ≤ 2θ ≤ 90°, by angle:
29.06°, 3.073 Å, I 100, (1 0 2); 31.03°, 2.882 Å, I 45, (1 2 0); 36.28°, 2.476 Å, I 10, (0 2 3); 36.63°, 2.453 Å, I 8, (1 2 2); 44.46°, 2.038 Å, I 20, (2 0 0); 44.68°, 2.028 Å, I 9, (1 0 4); 50.25°, 1.816 Å, I 14, (1 2 4); 53.99°, 1.698 Å, I 35, (2 2 2); 58.86°, 1.569 Å, I 7, (1 2 5); 60.24°, 1.536 Å, I 7, (2 0 4)

Atomic structure:
```
data_Pr4I4O3
_symmetry_space_group_name_H-M 'P m m 2'
_symmetry_Int_Tables_number 25
_cell_length_a 4.073
_cell_length_b 8.158
_cell_length_c 9.353
_cell_angle_alpha 90.00
_cell_angle_beta 90.00
_cell_angle_gamma 90.00
loop_
_symmetry_equiv_pos_as_xyz
'x,y,z'
'-x,-y,z'
'-x,y,z'
'x,-y,z'
loop_
_atom_site_label
_atom_site_fract_x
_atom_site_fract_y
_atom_site_fract_z
Pr1 0.000 0.000 0.000
Pr2 0.000 0.500 0.007
Pr3 0.500 0.248 0.743
I1 0.000 0.000 0.541
I2 0.000 0.500 0.552
I3 0.500 0.251 0.202
O1 0.000 0.257 0.873
O2 0.500 0.000 0.875
```

***

Structure and theoretical powder diffractogram of CsHf2O4 (the GGA-PBE geometry in OQMD; Cu Kα, 1.54184 Å).

Top 10 peaks for 10° ≤ 2θ ≤ 90°, by angle:
15.90°, 5.573 Å, I 25, (1 1 1); 26.11°, 3.412 Å, I 22, (2 2 0); 30.72°, 2.910 Å, I 100, (3 1 1); 32.12°, 2.786 Å, I 38, (2 2 2); 37.26°, 2.413 Å, I 16, (4 0 0); 49.04°, 1.858 Å, I 43, (5 1 1); 53.72°, 1.706 Å, I 41, (4 4 0); 63.17°, 1.472 Å, I 14, (5 3 3); 63.99°, 1.455 Å, I 20, (6 2 2); 75.69°, 1.257 Å, I 22, (5 5 3)

Atomic structure:
Cell: 9.652 9.652 9.652 Å, 90.00 90.00 90.00°
Space group Fd-3m (No. 227, origin choice 2)
Inequivalent atoms, fractional coordinates:
Cs 0.125 0.125 0.125 (multiplicity 8)
Hf 0.000 0.000 0.500 (multiplicity 16)
O 0.029 0.029 0.721 (multiplicity 32)